This entry pairs a crystal structure of Li9Mn7O16 with its simulated powder diffraction line list. Radiation: Cu Kα (weighted mean of Kα1 and Kα2). Structure: DFT lattice parameters and positions (PBE+U).
Kinematic intensities with the Lorentz-polarization factor, no thermal factor.

Main lines, sorted by position (10° ≤ 2θ ≤ 90°):
2theta	I/Imax
18.3	100
33.7	18
36.1	12
36.3	13
40.5	35
44.1	28
44.3	27
61.1	8
61.4	8
61.8	8

Cell and atoms:
```
Li9Mn7O16
1.0
5.0940 0.0000 0.0000
2.2042 7.5238 0.0000
1.0384 0.3029 7.8088
Li Mn O
9 7 16
Direct
0.0000 0.0000 0.0000
0.4792 0.5770 0.2974
0.4913 0.0541 0.8330
0.4905 0.8177 0.5563
0.4968 0.3146 0.0595
0.5032 0.6854 0.9405
0.5095 0.1823 0.4437
0.5087 0.9459 0.1670
0.5208 0.4230 0.7026
0.0000 0.5000 0.5000
0.0062 0.1190 0.6317
0.0100 0.3660 0.8816
0.0119 0.2435 0.2504
0.9881 0.7565 0.7496
0.9900 0.6340 0.1184
0.9938 0.8810 0.3683
0.2039 0.6764 0.5193
0.2109 0.9216 0.7621
0.2253 0.7774 0.1666
0.2307 0.0213 0.4203
0.2337 0.5287 0.9113
0.2345 0.4026 0.2948
0.2379 0.2690 0.6687
0.2471 0.1602 0.0472
0.7529 0.8398 0.9528
0.7621 0.7310 0.3313
0.7655 0.5974 0.7052
0.7663 0.4713 0.0887
0.7693 0.9787 0.5797
0.7747 0.2226 0.8334
0.7891 0.0784 0.2379
0.7961 0.3236 0.4807
```

This entry pairs a crystal structure of BaEu2NiO5 with its simulated powder diffraction line list. Radiation: Cu Kα (weighted mean of Kα1 and Kα2). Structure: DFT lattice parameters and positions (PBE+U).
Kinematic intensities with the Lorentz-polarization factor, no thermal factor.

Main lines, sorted by position (10° ≤ 2θ ≤ 90°):
2theta	I/Imax
27.5	30
30.3	30
30.8	11
31.8	100
39.3	13
43.7	17
45.6	15
47.3	14
54.7	22
55.7	23

Cell and atoms:
```
BaEu2NiO5
1.0
-1.9207 2.9529 5.8120
1.9207 -2.9529 5.8120
1.9207 2.9529 -5.8120
Ba Eu Ni O
1 2 1 5
Direct
0.0000 0.0000 0.0000
0.2952 0.7952 0.5000
0.7048 0.2048 0.5000
0.5000 0.5000 0.0000
0.1188 0.3592 0.7597
0.4005 0.6408 0.7597
0.5000 0.0000 0.5000
0.5995 0.3592 0.2403
0.8812 0.6408 0.2403
```